# 1
This entry pairs a crystal structure of CaPrBrN with its theoretical PXRD pattern. Radiation: Cu Kα (weighted mean of Kα1 and Kα2). Structure: a cell relaxed with PBE.

Largest 6 diffraction maxima, low angle first, 2θ from 10° to 80°:
d = 7.224 Å, I 39
d = 3.199 Å, I 69
d = 2.777 Å, I 88
d = 2.592 Å, I 100
d = 1.868 Å, I 43
d = 1.476 Å, I 32

a b c (Å): 3.7351 3.7351 21.6727
angles (deg): 90.00 90.00 120.00
Space group R3m (No. 160, hexagonal axes)
Asymmetric unit:
1 Ca 0.0000 0.0000 0.0000
2 Pr 0.0000 0.0000 0.2124
3 Br 0.0000 0.0000 0.4356
4 N 0.0000 0.0000 0.6096

# 2
This entry pairs a crystal structure of Y2Zn5Cu3 with its theoretical PXRD pattern. Radiation: Cu Kα (weighted mean of Kα1 and Kα2). Structure: a cell relaxed with PBE.

Largest 6 diffraction maxima, low angle first, 2θ from 10° to 80°:
d = 2.711 Å, I 43
d = 2.499 Å, I 100
d = 1.976 Å, I 75
d = 1.946 Å, I 33
d = 1.397 Å, I 20
d = 1.386 Å, I 21

a b c (Å): 3.9519 3.9519 11.1780
angles (deg): 90.00 90.00 90.00
Space group P-4m2 (No. 115)
Asymmetric unit:
1 Y 0.0000 0.5000 0.2371
2 Zn 0.0000 0.0000 0.5000
3 Zn 0.0000 0.5000 0.6464
4 Zn 0.5000 0.5000 0.0000
5 Zn 0.5000 0.5000 0.5000
6 Cu 0.0000 0.0000 0.0000
7 Cu 0.0000 0.5000 0.8635